1.
Structure and computed X-ray powder pattern of Li2FePO5 (a crystal structure in the Materials Project, relaxed with PBE+U; CuKα).

Structural model:
a b c (Å): 4.8863 5.6083 16.5568
angles (deg): 90.00 106.67 90.00
Space group Pc (No. 7)
Asymmetric unit:
Li: 0.0000 0.0761 0.0000 (multiplicity 2)
Li: 0.2996 0.4072 0.7961 (multiplicity 2)
Li: 0.3983 0.0770 0.3951 (multiplicity 2)
Li: 0.7166 0.4133 0.2129 (multiplicity 2)
Fe: 0.5144 0.4185 0.0085 (multiplicity 2)
Fe: 0.6164 0.0843 0.6091 (multiplicity 2)
P: 0.2149 0.0901 0.2099 (multiplicity 2)
P: 0.9178 0.4152 0.4046 (multiplicity 2)
O: 0.0248 0.1588 0.4175 (multiplicity 2)
O: 0.0977 0.4238 0.9809 (multiplicity 2)
O: 0.2446 0.0202 0.6238 (multiplicity 2)
O: 0.3263 0.3457 0.2184 (multiplicity 2)
O: 0.3611 0.0693 0.7847 (multiplicity 2)
O: 0.5971 0.4289 0.4111 (multiplicity 2)
O: 0.5992 0.0886 0.0077 (multiplicity 2)
O: 0.6774 0.4112 0.6063 (multiplicity 2)
O: 0.8806 0.0911 0.1966 (multiplicity 2)
O: 0.9319 0.4719 0.8220 (multiplicity 2)

Most intense lines, 2θ from 5° to 70°, sorted by position:
(0 0 2), 2θ = 11.16°, rel. 42; (1 0 -2), 2θ = 19.01°, rel. 31; (0 1 2), 2θ = 19.39°, rel. 100; (1 0 2), 2θ = 24.71°, rel. 44; (1 0 -4), 2θ = 24.91°, rel. 45; (1 1 1), 2θ = 26.61°, rel. 15; (0 2 0), 2θ = 31.91°, rel. 24; (0 1 5), 2θ = 32.43°, rel. 54; (2 0 -2), 2θ = 36.79°, rel. 41; (1 1 -6), 2θ = 37.55°, rel. 18; (0 3 5), 2θ = 57.20°, rel. 24; (3 2 -3), 2θ = 66.40°, rel. 16

2.
Structure and computed X-ray powder pattern of Li2FeP4O12 (a crystal structure in the Materials Project, relaxed with PBE+U; CuKα).

Structural model:
a b c (Å): 9.3755 9.3755 4.6695
angles (deg): 90.00 90.00 90.00
Space group P4/nbm (No. 125, origin choice 2)
Asymmetric unit:
Li: 0.0000 0.0000 0.0000 (multiplicity 4)
Fe: 0.2500 0.2500 0.0000 (multiplicity 2)
P: 0.0259 0.7500 0.5000 (multiplicity 8)
O: 0.0497 0.1799 0.2544 (multiplicity 16)
O: 0.1345 0.6345 0.6450 (multiplicity 8)

Most intense lines, 2θ from 5° to 70°, sorted by position:
(1 1 0), 2θ = 13.36°, rel. 19; (0 0 1), 2θ = 18.98°, rel. 49; (1 1 1), 2θ = 23.30°, rel. 77; (2 2 0), 2θ = 26.91°, rel. 45; (3 1 0), 2θ = 30.14°, rel. 15; (2 2 1), 2θ = 33.14°, rel. 100; (4 0 0), 2θ = 38.40°, rel. 14; (3 2 1), 2θ = 39.67°, rel. 40; (4 1 1), 2θ = 44.31°, rel. 14; (3 1 2), 2θ = 49.71°, rel. 21; (4 0 2), 2θ = 55.56°, rel. 20; (6 2 1), 2θ = 66.13°, rel. 18

Repeat the second record exactly.
Structure and computed X-ray powder pattern of Li2FeP4O12 (a crystal structure in the Materials Project, relaxed with PBE+U; CuKα).

Structural model:
a b c (Å): 9.3755 9.3755 4.6695
angles (deg): 90.00 90.00 90.00
Space group P4/nbm (No. 125, origin choice 2)
Asymmetric unit:
Li: 0.0000 0.0000 0.0000 (multiplicity 4)
Fe: 0.2500 0.2500 0.0000 (multiplicity 2)
P: 0.0259 0.7500 0.5000 (multiplicity 8)
O: 0.0497 0.1799 0.2544 (multiplicity 16)
O: 0.1345 0.6345 0.6450 (multiplicity 8)

Most intense lines, 2θ from 5° to 70°, sorted by position:
(1 1 0), 2θ = 13.36°, rel. 19; (0 0 1), 2θ = 18.98°, rel. 49; (1 1 1), 2θ = 23.30°, rel. 77; (2 2 0), 2θ = 26.91°, rel. 45; (3 1 0), 2θ = 30.14°, rel. 15; (2 2 1), 2θ = 33.14°, rel. 100; (4 0 0), 2θ = 38.40°, rel. 14; (3 2 1), 2θ = 39.67°, rel. 40; (4 1 1), 2θ = 44.31°, rel. 14; (3 1 2), 2θ = 49.71°, rel. 21; (4 0 2), 2θ = 55.56°, rel. 20; (6 2 1), 2θ = 66.13°, rel. 18

Repeat the first record exactly.
Structure and computed X-ray powder pattern of Li2FePO5 (a crystal structure in the Materials Project, relaxed with PBE+U; CuKα).

Structural model:
a b c (Å): 4.8863 5.6083 16.5568
angles (deg): 90.00 106.67 90.00
Space group Pc (No. 7)
Asymmetric unit:
Li: 0.0000 0.0761 0.0000 (multiplicity 2)
Li: 0.2996 0.4072 0.7961 (multiplicity 2)
Li: 0.3983 0.0770 0.3951 (multiplicity 2)
Li: 0.7166 0.4133 0.2129 (multiplicity 2)
Fe: 0.5144 0.4185 0.0085 (multiplicity 2)
Fe: 0.6164 0.0843 0.6091 (multiplicity 2)
P: 0.2149 0.0901 0.2099 (multiplicity 2)
P: 0.9178 0.4152 0.4046 (multiplicity 2)
O: 0.0248 0.1588 0.4175 (multiplicity 2)
O: 0.0977 0.4238 0.9809 (multiplicity 2)
O: 0.2446 0.0202 0.6238 (multiplicity 2)
O: 0.3263 0.3457 0.2184 (multiplicity 2)
O: 0.3611 0.0693 0.7847 (multiplicity 2)
O: 0.5971 0.4289 0.4111 (multiplicity 2)
O: 0.5992 0.0886 0.0077 (multiplicity 2)
O: 0.6774 0.4112 0.6063 (multiplicity 2)
O: 0.8806 0.0911 0.1966 (multiplicity 2)
O: 0.9319 0.4719 0.8220 (multiplicity 2)

Most intense lines, 2θ from 5° to 70°, sorted by position:
(0 0 2), 2θ = 11.16°, rel. 42; (1 0 -2), 2θ = 19.01°, rel. 31; (0 1 2), 2θ = 19.39°, rel. 100; (1 0 2), 2θ = 24.71°, rel. 44; (1 0 -4), 2θ = 24.91°, rel. 45; (1 1 1), 2θ = 26.61°, rel. 15; (0 2 0), 2θ = 31.91°, rel. 24; (0 1 5), 2θ = 32.43°, rel. 54; (2 0 -2), 2θ = 36.79°, rel. 41; (1 1 -6), 2θ = 37.55°, rel. 18; (0 3 5), 2θ = 57.20°, rel. 24; (3 2 -3), 2θ = 66.40°, rel. 16